Entry 1:
Structure and simulated PXRD pattern of RbVSi2O6 (a GGA+U-relaxed structure; Cu Kα, 1.54184 Å).
Lines closer than 0.1° are merged.

Structure:
Cell: 10.3487 11.5850 5.4613 Å, 90.00 108.09 90.00°
Space group C2/c (No. 15)
Unique sites:
Rb 0.0000 0.1190 0.2500 (multiplicity 4)
V 0.0000 0.2789 0.7500 (multiplicity 4)
Si 0.2309 0.4196 0.1467 (multiplicity 8)
O 0.0829 0.3580 0.0642 (multiplicity 8)
O 0.1408 0.1676 0.7530 (multiplicity 8)
O 0.2505 0.0106 0.1085 (multiplicity 8)

Peak list (8 most intense, 10 to 80 degrees two-theta, low angle first)
7.499 Å, I 30, (1 1 0)
3.749 Å, I 48, (2 2 0)
3.452 Å, I 100, (2 2 -1)
2.810 Å, I 55, (1 3 1)
2.747 Å, I 20, (2 2 1)
2.656 Å, I 21, (1 1 -2)
2.495 Å, I 25, (3 3 -1)
2.459 Å, I 20, (4 0 0)

Entry 2:
Structure and simulated PXRD pattern of RbV2SiO8 (a GGA+U-relaxed structure; Cu Kα, 1.54184 Å).
Lines closer than 0.1° are merged.

Structure:
Cell: 5.3808 5.3808 7.9085 Å, 90.00 90.00 120.00°
Space group P-3 (No. 147)
Unique sites:
Rb 0.0000 0.0000 0.0000 (multiplicity 1)
V 0.3333 0.6667 0.7011 (multiplicity 2)
Si 0.0000 0.0000 0.5000 (multiplicity 1)
O 0.1525 0.3076 0.6313 (multiplicity 6)
O 0.3333 0.6667 0.9114 (multiplicity 2)

Peak list (8 most intense, 10 to 80 degrees two-theta, low angle first)
4.660 Å, I 26, (1 0 0)
4.015 Å, I 100, (1 0 1)
3.015 Å, I 72, (0 1 2)
2.690 Å, I 52, (1 1 0)
2.636 Å, I 16, (0 0 3)
2.007 Å, I 24, (0 2 2)
1.719 Å, I 20, (2 1 1)
1.609 Å, I 23, (3 -2 2)